No. 1
Structure and simulated powder X-ray diffraction pattern of LiCe2Ga3Cu4 (the GGA-PBE geometry in Alexandria; a wavelength of 1.5418 Å).
Peak positions follow from Bragg's law for the DFT cell and can differ from measured ones.

Main lines, low angle first (2θ = 10–90°):
2θ (°)	I_rel
22.71	11.6
29.56	36.8
34.64	89.0
34.92	100.0
42.30	70.0
51.43	32.1
55.78	44.2
61.36	22.3
65.08	12.4
68.71	25.4
72.58	22.4
87.61	12.1

Structural model:
Lattice parameters (Å, degrees): 4.273 4.273 9.767 90.00 90.00 90.00
Fractional positions:
Li  0.000  0.000  0.000
Ce  0.000  0.500  0.741
Ce  0.500  0.000  0.259
Ga  0.000  0.500  0.370
Ga  0.500  0.000  0.630
Ga  0.500  0.500  0.000
Cu  0.000  0.000  0.500
Cu  0.000  0.500  0.125
Cu  0.500  0.000  0.875
Cu  0.500  0.500  0.500

=====

No. 2
Structure and simulated powder X-ray diffraction pattern of CeMg2GaCu2 (the GGA-PBE geometry in Alexandria; a wavelength of 1.5418 Å).
Peak positions follow from Bragg's law for the DFT cell and can differ from measured ones.

Main lines, low angle first (2θ = 10–90°):
2θ (°)	I_rel
25.47	100.0
30.52	26.5
30.87	29.9
33.43	35.0
36.34	71.3
42.49	36.1
48.40	16.8
50.20	43.2
52.33	24.3
59.08	18.5
63.54	27.4
69.61	15.9

Structural model:
Lattice parameters (Å, degrees): 6.401 6.401 6.401 134.56 134.56 66.22
Fractional positions:
Ce  0.000  0.000  0.000
Mg  0.250  0.750  0.500
Mg  0.750  0.250  0.500
Ga  0.500  0.500  0.000
Cu  0.284  0.284  0.000
Cu  0.716  0.716  0.000

=====

No. 3
Structure and simulated powder X-ray diffraction pattern of Ce2Ga4CuNi3 (the GGA-PBE geometry in Alexandria; a wavelength of 1.5418 Å).
Peak positions follow from Bragg's law for the DFT cell and can differ from measured ones.

Main lines, low angle first (2θ = 10–90°):
2θ (°)	I_rel
30.60	16.7
34.57	65.5
35.59	100.0
43.82	57.6
47.89	9.4
50.71	27.2
56.98	30.4
63.70	18.1
64.35	12.7
69.22	20.8
74.55	6.7
75.15	21.3

Structural model:
Lattice parameters (Å, degrees): 4.132 4.132 10.000 90.00 90.00 90.00
Fractional positions:
Ce  0.000  0.500  0.248
Ce  0.500  0.000  0.752
Ga  0.000  0.000  0.000
Ga  0.000  0.500  0.628
Ga  0.500  0.000  0.372
Ga  0.500  0.500  0.000
Cu  0.000  0.000  0.500
Ni  0.000  0.500  0.867
Ni  0.500  0.000  0.133
Ni  0.500  0.500  0.500

=====

No. 4
Structure and simulated powder X-ray diffraction pattern of Ce2ScGa2Cu2 (the GGA-PBE geometry in Alexandria; a wavelength of 1.5418 Å).
Peak positions follow from Bragg's law for the DFT cell and can differ from measured ones.

Main lines, low angle first (2θ = 10–90°):
2θ (°)	I_rel
25.04	12.8
27.94	40.6
34.79	84.1
37.53	72.3
42.21	100.0
54.83	11.8
55.81	21.1
57.74	19.9
71.53	31.1
72.38	19.1
74.07	18.5
77.17	15.9

Structural model:
Lattice parameters (Å, degrees): 8.730 8.730 8.730 28.40 28.40 28.40
Fractional positions:
Ce  0.137  0.137  0.137
Ce  0.863  0.863  0.863
Sc  0.000  0.000  0.000
Ga  0.271  0.271  0.271
Ga  0.729  0.729  0.729
Cu  0.392  0.392  0.392
Cu  0.608  0.608  0.608

=====

No. 5
Structure and simulated powder X-ray diffraction pattern of CeZnGaCu6 (the GGA-PBE geometry in Alexandria; a wavelength of 1.5418 Å).
Peak positions follow from Bragg's law for the DFT cell and can differ from measured ones.

Main lines, low angle first (2θ = 10–90°):
2θ (°)	I_rel
27.25	34.8
29.53	56.9
33.22	74.2
36.75	94.1
39.59	73.7
40.74	32.6
40.98	100.0
42.29	59.3
45.66	28.6
45.86	33.6
49.60	42.9
59.18	28.4

Structural model:
Lattice parameters (Å, degrees): 7.412 7.412 7.412 125.20 107.07 97.47
Fractional positions:
Ce  0.469  0.219  0.250
Ce  0.531  0.781  0.750
Zn  0.000  0.000  0.500
Zn  0.000  0.500  0.000
Ga  0.000  0.000  0.000
Ga  0.500  0.000  0.500
Cu  0.120  0.443  0.311
Cu  0.120  0.809  0.677
Cu  0.170  0.920  0.250
Cu  0.224  0.474  0.750
Cu  0.368  0.191  0.811
Cu  0.368  0.557  0.177
Cu  0.632  0.443  0.823
Cu  0.632  0.809  0.189
Cu  0.776  0.526  0.250
Cu  0.830  0.080  0.750
Cu  0.880  0.191  0.323
Cu  0.880  0.557  0.689

=====

No. 6
Structure and simulated powder X-ray diffraction pattern of CeZn4GaCu2 (the GGA-PBE geometry in Alexandria; a wavelength of 1.5418 Å).
Peak positions follow from Bragg's law for the DFT cell and can differ from measured ones.

Main lines, low angle first (2θ = 10–90°):
2θ (°)	I_rel
25.19	15.6
29.49	9.1
33.80	13.6
36.26	100.0
41.64	16.3
42.74	94.2
57.26	25.4
60.13	11.5
60.58	9.1
64.09	7.6
74.03	22.9
78.28	16.8

Structural model:
Lattice parameters (Å, degrees): 9.296 9.296 9.296 26.31 26.31 26.31
Fractional positions:
Ce  0.000  0.000  0.000
Zn  0.121  0.121  0.121
Zn  0.402  0.402  0.402
Zn  0.598  0.598  0.598
Zn  0.879  0.879  0.879
Ga  0.500  0.500  0.500
Cu  0.245  0.245  0.245
Cu  0.755  0.755  0.755